# 1
# NaCe5In6
Computed X-ray diffraction stick pattern, a wavelength of 1.5418 Å. Input: the GGA-PBE geometry in Alexandria.

Atomic structure:
a = 8.835 Å, b = 8.835 Å, c = 5.737 Å
α = 90.42°, β = 90.42°, γ = 46.67°
Positions (direct):
Na  0.000  0.000  0.000
Ce  0.175  0.175  0.641
Ce  0.332  0.332  0.353
Ce  0.500  0.500  0.000
Ce  0.668  0.668  0.647
Ce  0.825  0.825  0.359
In  0.078  0.590  0.855
In  0.239  0.761  0.500
In  0.410  0.922  0.145
In  0.590  0.078  0.855
In  0.761  0.239  0.500
In  0.922  0.410  0.145

Peak list (10 most intense, 2θ from 15° to 90°, sorted by position)
2theta	I_rel
32.0	100
33.1	88
37.3	64
38.6	29
52.3	12
54.7	19
54.8	21
63.3	26
65.3	11
65.7	11

***

# 2
# CeNd6In3
Computed X-ray diffraction stick pattern, a wavelength of 1.5418 Å. Input: the GGA-PBE geometry in Alexandria.

Atomic structure:
a = 9.558 Å, b = 5.571 Å, c = 12.246 Å
α = 90.00°, β = 111.42°, γ = 90.00°
Positions (direct):
Ce  0.055  0.250  0.438
Ce  0.945  0.750  0.562
Nd  0.090  0.750  0.877
Nd  0.141  0.750  0.157
Nd  0.150  0.250  0.709
Nd  0.254  0.750  0.492
Nd  0.357  0.250  0.329
Nd  0.468  0.750  0.085
Nd  0.532  0.250  0.915
Nd  0.643  0.750  0.671
Nd  0.746  0.250  0.508
Nd  0.850  0.750  0.291
Nd  0.859  0.250  0.843
Nd  0.910  0.250  0.123
In  0.231  0.250  0.031
In  0.363  0.750  0.780
In  0.448  0.250  0.622
In  0.552  0.750  0.378
In  0.637  0.250  0.220
In  0.769  0.750  0.969

Peak list (10 most intense, 2θ from 15° to 90°, sorted by position)
2theta	I_rel
30.4	38
32.1	60
32.5	100
33.0	89
34.5	37
44.9	26
49.1	15
57.5	20
57.8	18
59.9	16

***

# 3
# Ce2NdIn3
Computed X-ray diffraction stick pattern, a wavelength of 1.5418 Å. Input: the GGA-PBE geometry in Alexandria.

Atomic structure:
a = 3.463 Å, b = 3.463 Å, c = 13.971 Å
α = 90.00°, β = 90.00°, γ = 90.00°
Positions (direct):
Ce  0.000  0.000  0.167
Ce  0.000  0.000  0.833
Nd  0.000  0.000  0.500
In  0.500  0.500  0.000
In  0.500  0.500  0.333
In  0.500  0.500  0.667

Peak list (10 most intense, 2θ from 15° to 90°, sorted by position)
2theta	I_rel
32.2	100
36.7	35
38.7	15
52.9	12
54.4	22
63.3	28
65.9	12
67.4	12
87.0	6
89.4	11

***

# 4
# Ce3NdIn6
Computed X-ray diffraction stick pattern, a wavelength of 1.5418 Å. Input: the GGA-PBE geometry in Alexandria.

Atomic structure:
a = 11.484 Å, b = 11.484 Å, c = 11.484 Å
α = 119.09°, β = 119.09°, γ = 119.09°
Positions (direct):
Ce  0.095  0.095  0.809
Ce  0.095  0.809  0.095
Ce  0.809  0.095  0.095
Nd  0.984  0.984  0.984
In  0.195  0.734  0.734
In  0.389  0.389  0.630
In  0.389  0.630  0.389
In  0.630  0.389  0.389
In  0.734  0.195  0.734
In  0.734  0.734  0.195

Peak list (10 most intense, 2θ from 15° to 90°, sorted by position)
2theta	I_rel
15.5	55
17.9	31
27.0	46
32.6	40
32.9	93
34.2	90
35.4	34
36.3	100
46.1	30
65.3	35

***

# 5
# CeNdIn4
Computed X-ray diffraction stick pattern, a wavelength of 1.5418 Å. Input: the GGA-PBE geometry in Alexandria.

Atomic structure:
a = 4.784 Å, b = 7.499 Å, c = 9.188 Å
α = 90.00°, β = 90.00°, γ = 90.00°
Positions (direct):
Ce  0.000  0.000  0.000
Ce  0.500  0.500  0.500
Nd  0.000  0.500  0.105
Nd  0.500  0.000  0.605
In  0.000  0.207  0.391
In  0.000  0.295  0.711
In  0.000  0.705  0.711
In  0.000  0.793  0.391
In  0.500  0.205  0.211
In  0.500  0.293  0.891
In  0.500  0.707  0.891
In  0.500  0.795  0.211

Peak list (10 most intense, 2θ from 15° to 90°, sorted by position)
2theta	I_rel
29.5	44
30.8	37
31.9	100
34.8	66
37.3	21
37.6	39
49.4	19
57.8	22
61.1	15
68.7	16

***

# 6
# Ce2NdIn6
Computed X-ray diffraction stick pattern, a wavelength of 1.5418 Å. Input: the GGA-PBE geometry in Alexandria.

Atomic structure:
a = 8.768 Å, b = 8.768 Å, c = 3.632 Å
α = 90.00°, β = 90.00°, γ = 120.00°
Positions (direct):
Ce  0.333  0.667  0.000
Ce  0.667  0.333  0.000
Nd  0.000  0.000  0.000
In  0.000  0.334  0.500
In  0.000  0.666  0.500
In  0.334  0.000  0.500
In  0.334  0.334  0.500
In  0.666  0.000  0.500
In  0.666  0.666  0.500

Peak list (10 most intense, 2θ from 15° to 90°, sorted by position)
2theta	I_rel
32.0	100
35.5	80
48.5	31
50.2	10
61.5	30
63.0	29
63.7	14
75.1	9
83.9	12
85.2	13